(1)
For CaLaRhS, a structure optimized by DFT (GGA-PBE) gives the calculated powder XRD pattern in this record (Cu Kα).
Neutral-atom scattering factors, no anomalous dispersion.

Structural model:
Unit cell a=4.0096 b=4.0096 c=7.2028 alpha=90.00 beta=90.00 gamma=120.00
Atoms (fractional coordinates):
Ca1 0.0000 0.0000 0.0000
La1 0.6667 0.3333 0.5070
Rh1 0.3333 0.6667 0.7293
S1 0.3333 0.6667 0.2270

Peak list (10 most intense, 15 to 90 degrees two-theta, in order of falling intensity)
2θ (°), intensity
35.9, 100
28.5, 98
45.2, 45
46.0, 31
59.1, 23
70.3, 21
77.4, 20
25.7, 19
54.4, 16
47.1, 14

(2)
For CeTh, a structure optimized by DFT (GGA-PBE) gives the calculated powder XRD pattern in this record (Cu Kα).
Neutral-atom scattering factors, no anomalous dispersion.

Structural model:
Unit cell a=3.4808 b=3.4808 c=16.9192 alpha=90.00 beta=90.00 gamma=120.00
Atoms (fractional coordinates):
Ce1 0.0000 0.0000 0.0000
Ce2 0.3333 0.6667 0.6667
Ce3 0.6667 0.3333 0.3333
Th1 0.0000 0.0000 0.5000
Th2 0.3333 0.6667 0.1667
Th3 0.6667 0.3333 0.8333

Peak list (10 most intense, 15 to 90 degrees two-theta, in order of falling intensity)
2θ (°), intensity
31.5, 100
36.6, 67
31.7, 33
62.7, 29
52.6, 24
52.9, 24
62.6, 14
63.0, 14
65.8, 12
86.1, 12

(3)
For CeUTlS4, a structure optimized by DFT (GGA-PBE) gives the calculated powder XRD pattern in this record (Cu Kα).
Neutral-atom scattering factors, no anomalous dispersion.

Structural model:
Unit cell a=8.4558 b=8.4558 c=8.4558 alpha=121.52 beta=117.58 gamma=90.82
Atoms (fractional coordinates):
Ce1 0.0000 0.0000 0.0000
Ce2 0.5000 0.0000 0.5000
U1 0.5000 0.0000 0.0000
U2 0.5000 0.5000 0.5000
Tl1 0.1173 0.3673 0.7500
Tl2 0.8827 0.6327 0.2500
S1 0.2721 0.2401 0.4680
S2 0.2721 0.8040 0.0320
S3 0.2848 0.2368 0.0479
S4 0.3111 0.7632 0.5479
S5 0.6889 0.2368 0.4521
S6 0.7152 0.7632 0.9521
S7 0.7279 0.1960 0.9680
S8 0.7279 0.7599 0.5320

Peak list (10 most intense, 15 to 90 degrees two-theta, in order of falling intensity)
2θ (°), intensity
25.0, 100
42.8, 61
24.2, 44
21.0, 37
39.3, 36
38.5, 35
24.7, 33
20.3, 21
25.3, 19
41.2, 17

(4)
For Pm12Sm5In2, a structure optimized by DFT (GGA-PBE) gives the calculated powder XRD pattern in this record (Cu Kα).
Neutral-atom scattering factors, no anomalous dispersion.

Structural model:
Unit cell a=9.1257 b=9.1257 c=8.6282 alpha=92.89 beta=92.89 gamma=61.96
Atoms (fractional coordinates):
Pm1 0.0559 0.0559 0.3248
Pm2 0.0687 0.6807 0.3305
Pm3 0.1693 0.5391 0.7640
Pm4 0.3193 0.9313 0.6695
Pm5 0.4210 0.4210 0.1155
Pm6 0.4609 0.8307 0.2360
Pm7 0.5391 0.1693 0.7640
Pm8 0.5790 0.5790 0.8845
Pm9 0.6807 0.0687 0.3305
Pm10 0.8307 0.4609 0.2360
Pm11 0.9313 0.3193 0.6695
Pm12 0.9441 0.9441 0.6752
Sm1 0.1909 0.1909 0.0137
Sm2 0.2679 0.2679 0.4200
Sm3 0.5000 0.5000 0.5000
Sm4 0.7321 0.7321 0.5800
Sm5 0.8091 0.8091 0.9863
In1 0.1756 0.8244 0.0000
In2 0.8244 0.1756 0.0000

Peak list (10 most intense, 15 to 90 degrees two-theta, in order of falling intensity)
2θ (°), intensity
31.4, 100
32.8, 72
29.9, 69
31.8, 62
35.3, 57
31.0, 50
35.7, 47
28.1, 38
29.8, 38
30.8, 36

(5)
For ZrTlSe2Br, a structure optimized by DFT (GGA-PBE) gives the calculated powder XRD pattern in this record (Cu Kα).
Neutral-atom scattering factors, no anomalous dispersion.

Structural model:
Unit cell a=5.2658 b=5.2658 c=5.4600 alpha=90.00 beta=90.00 gamma=90.00
Atoms (fractional coordinates):
Zr1 0.0000 0.0000 0.0000
Tl1 0.5000 0.5000 0.5000
Se1 0.0000 0.5000 0.0000
Se2 0.5000 0.0000 0.0000
Br1 0.0000 0.0000 0.5000

Peak list (10 most intense, 15 to 90 degrees two-theta, in order of falling intensity)
2θ (°), intensity
29.0, 100
34.1, 78
23.5, 62
48.0, 59
32.8, 43
23.9, 31
60.2, 30
57.9, 29
48.9, 28
41.8, 28

(6)
For CrNi3Ru, a structure optimized by DFT (GGA-PBE) gives the calculated powder XRD pattern in this record (Cu Kα).
Neutral-atom scattering factors, no anomalous dispersion.

Structural model:
Unit cell a=4.8462 b=4.8462 c=6.1739 alpha=107.47 beta=107.47 gamma=62.33
Atoms (fractional coordinates):
Cr1 0.1460 0.1460 0.1053
Cr2 0.8540 0.8540 0.8947
Ni1 0.1882 0.6871 0.2615
Ni2 0.3129 0.8118 0.7385
Ni3 0.3446 0.3436 0.8828
Ni4 0.6564 0.6554 0.1172
Ni5 0.6863 0.1881 0.2614
Ni6 0.8119 0.3137 0.7386
Ru1 0.0034 0.4961 0.4992
Ru2 0.5039 0.9966 0.5008

Peak list (10 most intense, 15 to 90 degrees two-theta, in order of falling intensity)
2θ (°), intensity
43.7, 100
48.7, 97
48.4, 96
39.2, 93
44.6, 82
45.2, 76
76.0, 32
59.9, 27
60.3, 23
35.8, 19

(7)
For AcNpAgO6, a structure optimized by DFT (GGA-PBE) gives the calculated powder XRD pattern in this record (Cu Kα).
Neutral-atom scattering factors, no anomalous dispersion.

Structural model:
Unit cell a=5.3752 b=5.3752 c=10.4671 alpha=90.00 beta=90.00 gamma=90.00
Atoms (fractional coordinates):
Ac1 0.0000 0.0000 0.0000
Ac2 0.5000 0.5000 0.5000
Np1 0.0000 0.0000 0.6548
Np2 0.5000 0.5000 0.1548
Ag1 0.0000 0.0000 0.3242
Ag2 0.5000 0.5000 0.8242
O1 0.1722 0.1722 0.5058
O2 0.1747 0.1747 0.7926
O3 0.2238 0.2238 0.1657
O4 0.2762 0.7238 0.6657
O5 0.3253 0.6747 0.2926
O6 0.3278 0.6722 0.0058
O7 0.6722 0.3278 0.0058
O8 0.6747 0.3253 0.2926
O9 0.7238 0.2762 0.6657
O10 0.7762 0.7762 0.1657
O11 0.8253 0.8253 0.7926
O12 0.8278 0.8278 0.5058

Peak list (10 most intense, 15 to 90 degrees two-theta, in order of falling intensity)
2θ (°), intensity
23.4, 100
30.5, 85
45.8, 68
33.3, 30
57.9, 20
53.9, 18
68.4, 17
47.9, 17
58.2, 16
78.3, 14

(8)
For LaPr4Hg2, a structure optimized by DFT (GGA-PBE) gives the calculated powder XRD pattern in this record (Cu Kα).
Neutral-atom scattering factors, no anomalous dispersion.

Structural model:
Unit cell a=8.8522 b=8.8522 c=10.0371 alpha=103.90 beta=103.90 gamma=36.65
Atoms (fractional coordinates):
La1 0.0994 0.0994 0.0706
La2 0.9006 0.9006 0.9294
Pr1 0.0347 0.0347 0.6840
Pr2 0.2612 0.2612 0.9133
Pr3 0.3082 0.3082 0.3019
Pr4 0.3694 0.3694 0.6601
Pr5 0.6306 0.6306 0.3399
Pr6 0.6918 0.6918 0.6981
Pr7 0.7388 0.7388 0.0867
Pr8 0.9653 0.9653 0.3160
Hg1 0.1718 0.1718 0.5057
Hg2 0.4547 0.4547 0.1226
Hg3 0.5453 0.5453 0.8774
Hg4 0.8282 0.8282 0.4943

Peak list (10 most intense, 15 to 90 degrees two-theta, in order of falling intensity)
2θ (°), intensity
32.6, 100
32.0, 99
32.2, 61
32.0, 49
46.0, 35
57.7, 20
57.3, 19
57.9, 14
46.8, 14
56.6, 13

(9)
For Mg2HgAu4, a structure optimized by DFT (GGA-PBE) gives the calculated powder XRD pattern in this record (Cu Kα).
Neutral-atom scattering factors, no anomalous dispersion.

Structural model:
Unit cell a=5.2038 b=5.2038 c=13.7175 alpha=90.00 beta=90.00 gamma=90.00
Atoms (fractional coordinates):
Mg1 0.0000 0.0000 0.1096
Mg2 0.0000 0.0000 0.8904
Mg3 0.5000 0.5000 0.3904
Mg4 0.5000 0.5000 0.6096
Hg1 0.0000 0.0000 0.5000
Hg2 0.5000 0.5000 0.0000
Au1 0.0000 0.0000 0.2949
Au2 0.0000 0.0000 0.7051
Au3 0.0000 0.5000 0.0000
Au4 0.0000 0.5000 0.5000
Au5 0.5000 0.0000 0.0000
Au6 0.5000 0.0000 0.5000
Au7 0.5000 0.5000 0.2051
Au8 0.5000 0.5000 0.7949

Peak list (10 most intense, 15 to 90 degrees two-theta, in order of falling intensity)
2θ (°), intensity
34.5, 100
27.5, 88
37.0, 73
18.2, 61
51.5, 53
43.7, 51
26.0, 50
49.5, 36
56.8, 23
57.6, 23

(10)
For Nd2Sm8Ho3, a structure optimized by DFT (GGA-PBE) gives the calculated powder XRD pattern in this record (Cu Kα).
Neutral-atom scattering factors, no anomalous dispersion.

Structural model:
Unit cell a=11.0446 b=11.0446 c=5.6540 alpha=90.00 beta=90.00 gamma=139.23
Atoms (fractional coordinates):
Nd1 0.2403 0.7597 0.0000
Nd2 0.7597 0.2403 0.0000
Sm1 0.1293 0.8707 0.5000
Sm2 0.1886 0.3974 0.0000
Sm3 0.3333 0.6667 0.5000
Sm4 0.3974 0.1886 0.0000
Sm5 0.6026 0.8114 0.0000
Sm6 0.6667 0.3333 0.5000
Sm7 0.8114 0.6026 0.0000
Sm8 0.8707 0.1293 0.5000
Ho1 0.0000 0.0000 0.0000
Ho2 0.2858 0.2858 0.5000
Ho3 0.7142 0.7142 0.5000

Peak list (10 most intense, 15 to 90 degrees two-theta, in order of falling intensity)
2θ (°), intensity
33.1, 100
31.6, 41
29.1, 34
30.3, 34
57.3, 27
24.7, 20
63.5, 12
34.7, 12
40.5, 11
66.9, 10

(11)
For Na2BPbO4, a structure optimized by DFT (GGA-PBE) gives the calculated powder XRD pattern in this record (Cu Kα).
Neutral-atom scattering factors, no anomalous dispersion.

Structural model:
Unit cell a=5.1452 b=5.1452 c=8.1765 alpha=90.00 beta=90.00 gamma=90.00
Atoms (fractional coordinates):
Na1 0.0000 0.0000 0.0000
Na2 0.0000 0.5000 0.2500
Na3 0.5000 0.0000 0.7500
Na4 0.5000 0.5000 0.5000
B1 0.0000 0.5000 0.7500
B2 0.5000 0.0000 0.2500
Pb1 0.0000 0.0000 0.5000
Pb2 0.5000 0.5000 0.0000
O1 0.1747 0.6763 0.8482
O2 0.1763 0.3253 0.6518
O3 0.3237 0.1747 0.1518
O4 0.3253 0.8237 0.3482
O5 0.6747 0.1763 0.3482
O6 0.6763 0.8253 0.1518
O7 0.8237 0.6747 0.6518
O8 0.8253 0.3237 0.8482

Peak list (10 most intense, 15 to 90 degrees two-theta, in order of falling intensity)
2θ (°), intensity
20.4, 100
33.0, 72
40.7, 38
24.5, 33
37.3, 23
41.5, 23
61.3, 21
34.9, 21
21.7, 19
52.0, 19

(12)
For Er2TeO6, a structure optimized by DFT (GGA-PBE) gives the calculated powder XRD pattern in this record (Cu Kα).
Neutral-atom scattering factors, no anomalous dispersion.

Structural model:
Unit cell a=5.2650 b=9.0864 c=9.9612 alpha=90.00 beta=90.00 gamma=90.00
Atoms (fractional coordinates):
Er1 0.0172 0.1035 0.4624
Er2 0.0401 0.2170 0.8655
Er3 0.4599 0.7830 0.3655
Er4 0.4828 0.8965 0.9624
Er5 0.5172 0.3965 0.5376
Er6 0.5401 0.2830 0.1345
Er7 0.9599 0.7170 0.6345
Er8 0.9828 0.6035 0.0376
Te1 0.0370 0.4950 0.3512
Te2 0.4630 0.5050 0.8512
Te3 0.5370 0.0050 0.6488
Te4 0.9630 0.9950 0.1488
O1 0.0917 0.8432 0.0297
O2 0.1705 0.9503 0.3019
O3 0.1787 0.6409 0.8212
O4 0.1887 0.6423 0.2376
O5 0.2359 0.1154 0.0687
O6 0.2426 0.5856 0.4959
O7 0.2574 0.4144 0.9959
O8 0.2641 0.8846 0.5687
O9 0.3113 0.3577 0.7376
O10 0.3213 0.3591 0.3212
O11 0.3295 0.0497 0.8019
O12 0.4083 0.1568 0.5297
O13 0.5917 0.6568 0.9703
O14 0.6705 0.5497 0.6981
O15 0.6787 0.8591 0.1788
O16 0.6887 0.8577 0.7624
O17 0.7359 0.3846 0.9313
O18 0.7426 0.9144 0.5041
O19 0.7574 0.0856 0.0041
O20 0.7641 0.6154 0.4313
O21 0.8113 0.1423 0.2624
O22 0.8213 0.1409 0.6788
O23 0.8295 0.4503 0.1981
O24 0.9083 0.3432 0.4703

Peak list (10 most intense, 15 to 90 degrees two-theta, in order of falling intensity)
2θ (°), intensity
27.4, 100
26.5, 92
33.4, 62
25.9, 53
34.1, 38
46.6, 36
30.9, 35
54.2, 35
28.6, 34
34.7, 25